1.
# Er3ZrSc3
Calculated powder diffractogram, λ = 1.5418 Å (Cu Kα). Input: DFT lattice parameters and positions (GGA-PBE).

Atomic structure:
```
data_Er3ZrSc3
_space_group_name_H-M_alt 'P 1'
_space_group_IT_number 1
_cell_length_a 5.6013
_cell_length_b 6.0119
_cell_length_c 12.9168
_cell_angle_alpha 94.97
_cell_angle_beta 93.35
_cell_angle_gamma 117.69
loop_
_space_group_symop_operation_xyz
'x,y,z'
loop_
_atom_site_label
_atom_site_fract_x
_atom_site_fract_y
_atom_site_fract_z
Er1 0.0662 0.0602 0.2188
Er2 0.2914 0.6290 0.8391
Er3 0.3950 0.7417 0.1568
Er4 0.6050 0.2583 0.8432
Er5 0.7086 0.3710 0.1609
Er6 0.9338 0.9398 0.7812
Zr1 0.1341 0.2685 0.0005
Zr2 0.8659 0.7315 0.9995
Sc1 0.1524 0.4981 0.3977
Sc2 0.2023 0.2191 0.5872
Sc3 0.4967 0.8644 0.6017
Sc4 0.5033 0.1356 0.3983
Sc5 0.7977 0.7809 0.4128
Sc6 0.8476 0.5019 0.6023
```

Largest 10 diffraction maxima, by intensity, 10 to 80 degrees two-theta:
| Position (°2θ) | d_spacing | I/Imax |
| --- | --- | --- |
| 35.07 | 2.559 | 100 |
| 32.01 | 2.796 | 67 |
| 29.92 | 2.987 | 66 |
| 34.11 | 2.629 | 49 |
| 35.32 | 2.541 | 46 |
| 34.30 | 2.615 | 46 |
| 20.84 | 4.262 | 40 |
| 13.85 | 6.394 | 25 |
| 37.42 | 2.403 | 22 |
| 33.22 | 2.697 | 21 |



2.
# ErZr4Sc15
Calculated powder diffractogram, λ = 1.5418 Å (Cu Kα). Input: DFT lattice parameters and positions (GGA-PBE).

Atomic structure:
```
data_ErZr4Sc15
_space_group_name_H-M_alt 'P 1'
_space_group_IT_number 1
_cell_length_a 5.2542
_cell_length_b 5.2542
_cell_length_c 17.6643
_cell_angle_alpha 90.00
_cell_angle_beta 90.00
_cell_angle_gamma 90.00
loop_
_space_group_symop_operation_xyz
'x,y,z'
loop_
_atom_site_label
_atom_site_fract_x
_atom_site_fract_y
_atom_site_fract_z
Er1 0.0000 0.0000 0.0000
Zr1 0.0000 0.0000 0.2177
Zr2 0.0000 0.0000 0.3999
Zr3 0.0000 0.0000 0.6001
Zr4 0.0000 0.0000 0.7823
Sc1 0.0000 0.5000 0.1140
Sc2 0.0000 0.5000 0.3047
Sc3 0.0000 0.5000 0.5000
Sc4 0.0000 0.5000 0.6953
Sc5 0.0000 0.5000 0.8860
Sc6 0.5000 0.0000 0.1140
Sc7 0.5000 0.0000 0.3047
Sc8 0.5000 0.0000 0.5000
Sc9 0.5000 0.0000 0.6953
Sc10 0.5000 0.0000 0.8860
Sc11 0.5000 0.5000 0.0000
Sc12 0.5000 0.5000 0.2046
Sc13 0.5000 0.5000 0.4007
Sc14 0.5000 0.5000 0.5993
Sc15 0.5000 0.5000 0.7954
```

Largest 10 diffraction maxima, by intensity, 10 to 80 degrees two-theta:
| Position (°2θ) | d_spacing | I/Imax |
| --- | --- | --- |
| 35.05 | 2.560 | 100 |
| 34.13 | 2.627 | 58 |
| 61.69 | 1.504 | 35 |
| 16.87 | 5.254 | 21 |
| 49.04 | 1.858 | 20 |
| 63.46 | 1.466 | 13 |
| 23.95 | 3.715 | 10 |
| 30.49 | 2.932 | 9 |
| 74.06 | 1.280 | 8 |
| 51.75 | 1.766 | 6 |



3.
# ErZr4Sc8
Calculated powder diffractogram, λ = 1.5418 Å (Cu Kα). Input: DFT lattice parameters and positions (GGA-PBE).

Atomic structure:
```
data_ErZr4Sc8
_space_group_name_H-M_alt 'P 1'
_space_group_IT_number 1
_cell_length_a 6.2892
_cell_length_b 6.2918
_cell_length_c 10.3598
_cell_angle_alpha 107.58
_cell_angle_beta 90.07
_cell_angle_gamma 119.90
loop_
_space_group_symop_operation_xyz
'x,y,z'
loop_
_atom_site_label
_atom_site_fract_x
_atom_site_fract_y
_atom_site_fract_z
Er1 0.0000 0.0000 0.0000
Zr1 0.0000 0.0000 0.5000
Zr2 0.0000 0.5000 0.5000
Zr3 0.5000 0.0000 0.5000
Zr4 0.5000 0.5000 0.5000
Sc1 0.2505 0.5028 0.2378
Sc2 0.2508 0.9891 0.2388
Sc3 0.2638 0.0108 0.7617
Sc4 0.3042 0.6046 0.9112
Sc5 0.6958 0.3954 0.0888
Sc6 0.7362 0.9892 0.2383
Sc7 0.7492 0.0109 0.7612
Sc8 0.7495 0.4972 0.7622
```

Largest 10 diffraction maxima, by intensity, 10 to 80 degrees two-theta:
| Position (°2θ) | d_spacing | I/Imax |
| --- | --- | --- |
| 35.16 | 2.552 | 100 |
| 41.39 | 2.182 | 48 |
| 17.37 | 5.105 | 29 |
| 33.95 | 2.640 | 28 |
| 29.85 | 2.993 | 25 |
| 18.28 | 4.854 | 24 |
| 37.04 | 2.427 | 23 |
| 34.93 | 2.569 | 18 |
| 58.65 | 1.574 | 17 |
| 26.96 | 3.307 | 15 |



4.
# Er4ZrSc3
Calculated powder diffractogram, λ = 1.5418 Å (Cu Kα). Input: DFT lattice parameters and positions (GGA-PBE).

Atomic structure:
```
data_Er4ZrSc3
_space_group_name_H-M_alt 'P 1'
_space_group_IT_number 1
_cell_length_a 11.1630
_cell_length_b 12.5433
_cell_length_c 3.2210
_cell_angle_alpha 90.00
_cell_angle_beta 90.00
_cell_angle_gamma 90.00
loop_
_space_group_symop_operation_xyz
'x,y,z'
loop_
_atom_site_label
_atom_site_fract_x
_atom_site_fract_y
_atom_site_fract_z
Er1 0.0000 0.2493 0.0000
Er2 0.0000 0.7507 0.0000
Er3 0.2405 0.0000 0.5000
Er4 0.2595 0.5000 0.5000
Er5 0.5000 0.2507 0.0000
Er6 0.5000 0.7493 0.0000
Er7 0.7405 0.5000 0.5000
Er8 0.7595 0.0000 0.5000
Zr1 0.0000 0.0000 0.0000
Zr2 0.5000 0.5000 0.0000
Sc1 0.0000 0.5000 0.0000
Sc2 0.2500 0.2500 0.5000
Sc3 0.2500 0.7500 0.5000
Sc4 0.5000 0.0000 0.0000
Sc5 0.7500 0.2500 0.5000
Sc6 0.7500 0.7500 0.5000
```

Largest 10 diffraction maxima, by intensity, 10 to 80 degrees two-theta:
| Position (°2θ) | d_spacing | I/Imax |
| --- | --- | --- |
| 32.08 | 2.790 | 100 |
| 43.41 | 2.084 | 86 |
| 28.46 | 3.136 | 46 |
| 21.31 | 4.169 | 42 |
| 65.10 | 1.433 | 25 |
| 68.67 | 1.367 | 22 |
| 57.18 | 1.611 | 19 |
| 31.22 | 2.865 | 17 |
| 45.36 | 1.999 | 12 |
| 74.44 | 1.274 | 11 |



5.
# Er2Se3
Calculated powder diffractogram, λ = 1.5418 Å (Cu Kα). Input: DFT lattice parameters and positions (GGA-PBE).

Atomic structure:
```
data_Er2Se3
_space_group_name_H-M_alt 'P 1'
_space_group_IT_number 1
_cell_length_a 13.4478
_cell_length_b 12.8355
_cell_length_c 7.0379
_cell_angle_alpha 79.33
_cell_angle_beta 69.72
_cell_angle_gamma 30.95
loop_
_space_group_symop_operation_xyz
'x,y,z'
loop_
_atom_site_label
_atom_site_fract_x
_atom_site_fract_y
_atom_site_fract_z
Er1 0.0412 0.0412 0.2088
Er2 0.1277 0.1277 0.6223
Er3 0.2088 0.2088 0.0412
Er4 0.3777 0.3777 0.8723
Er5 0.6223 0.6223 0.1277
Er6 0.7912 0.7912 0.9588
Er7 0.8723 0.8723 0.3777
Er8 0.9588 0.9588 0.7912
Se1 0.0489 0.5390 0.1953
Se2 0.1175 0.6325 0.6325
Se3 0.1953 0.7168 0.0489
Se4 0.2832 0.8047 0.4610
Se5 0.3675 0.8825 0.8825
Se6 0.4610 0.9511 0.2832
Se7 0.5390 0.0489 0.7168
Se8 0.6325 0.1175 0.1175
Se9 0.7168 0.1953 0.5390
Se10 0.8047 0.2832 0.9511
Se11 0.8825 0.3675 0.3675
Se12 0.9511 0.4610 0.8047
```

Largest 10 diffraction maxima, by intensity, 10 to 80 degrees two-theta:
| Position (°2θ) | d_spacing | I/Imax |
| --- | --- | --- |
| 31.06 | 2.879 | 100 |
| 44.64 | 2.030 | 91 |
| 31.23 | 2.864 | 50 |
| 13.79 | 6.420 | 48 |
| 55.20 | 1.664 | 21 |
| 55.53 | 1.655 | 19 |
| 44.30 | 2.044 | 19 |
| 73.64 | 1.286 | 16 |
| 73.92 | 1.282 | 16 |
| 22.63 | 3.929 | 16 |



6.
# Er3Se
Calculated powder diffractogram, λ = 1.5418 Å (Cu Kα). Input: DFT lattice parameters and positions (GGA-PBE).

Atomic structure:
```
data_Er3Se
_space_group_name_H-M_alt 'P 1'
_space_group_IT_number 1
_cell_length_a 3.7796
_cell_length_b 11.8017
_cell_length_c 9.4372
_cell_angle_alpha 90.00
_cell_angle_beta 90.00
_cell_angle_gamma 90.00
loop_
_space_group_symop_operation_xyz
'x,y,z'
loop_
_atom_site_label
_atom_site_fract_x
_atom_site_fract_y
_atom_site_fract_z
Er1 0.0000 0.0684 0.2500
Er2 0.0000 0.3633 0.0463
Er3 0.0000 0.3633 0.4537
Er4 0.0000 0.6367 0.5463
Er5 0.0000 0.6367 0.9537
Er6 0.0000 0.9316 0.7500
Er7 0.5000 0.1367 0.5463
Er8 0.5000 0.1367 0.9537
Er9 0.5000 0.4316 0.7500
Er10 0.5000 0.5684 0.2500
Er11 0.5000 0.8633 0.0463
Er12 0.5000 0.8633 0.4537
Se1 0.0000 0.2375 0.7500
Se2 0.0000 0.7625 0.2500
Se3 0.5000 0.2625 0.2500
Se4 0.5000 0.7375 0.7500
```

Largest 10 diffraction maxima, by intensity, 10 to 80 degrees two-theta:
| Position (°2θ) | d_spacing | I/Imax |
| --- | --- | --- |
| 31.25 | 2.862 | 100 |
| 34.24 | 2.618 | 57 |
| 32.25 | 2.776 | 54 |
| 38.14 | 2.360 | 40 |
| 32.86 | 2.726 | 36 |
| 35.90 | 2.502 | 30 |
| 59.58 | 1.552 | 24 |
| 48.15 | 1.890 | 22 |
| 37.99 | 2.369 | 21 |
| 31.78 | 2.816 | 20 |